(1)
Structure and calculated X-ray powder pattern of Mg4Zr3 (DFT lattice parameters and positions (PBE); Cu Kα (weighted mean of Kα1 and Kα2)).

Crystal structure
```
Mg4Zr3
1.0
8.475 0.000 0.000
-4.238 7.340 0.000
0.000 0.000 5.134
Mg Zr
8 6
Cartesian
-1.842 4.541 1.283
0.000 4.893 3.850
1.226 3.474 1.283
3.622 0.675 3.850
0.616 6.665 1.283
3.011 3.866 3.850
4.238 2.447 1.283
6.080 2.799 3.850
-3.053 5.993 3.850
0.574 1.699 3.850
1.758 0.353 1.283
2.479 6.987 3.850
3.664 5.641 1.283
7.291 1.346 1.283
```

Main lines, sorted by position (10° ≤ 2θ ≤ 90°):
2θ = 12.06°, intensity 68; 2θ = 32.27°, intensity 26; 2θ = 34.96°, intensity 25; 2θ = 36.83°, intensity 100; 2θ = 48.31°, intensity 16; 2θ = 57.55°, intensity 17; 2θ = 63.92°, intensity 19; 2θ = 69.13°, intensity 19


(2)
Structure and calculated X-ray powder pattern of Mg3Zr4 (DFT lattice parameters and positions (PBE); Cu Kα (weighted mean of Kα1 and Kα2)).

Crystal structure
```
Mg3Zr4
1.0
8.536 0.000 0.000
-4.268 7.392 0.000
0.000 0.000 5.022
Mg Zr
6 8
Cartesian
-3.057 5.991 1.256
0.608 1.750 1.256
1.819 0.348 3.767
2.449 7.044 1.256
3.660 5.643 3.767
7.325 1.402 3.767
-1.820 4.617 3.767
0.000 4.928 1.256
1.180 3.508 3.767
3.628 0.732 1.256
0.640 6.661 3.767
3.088 3.885 1.256
4.268 2.464 3.767
6.088 2.776 1.256
```

Main lines, sorted by position (10° ≤ 2θ ≤ 90°):
2θ = 11.97°, intensity 41; 2θ = 32.03°, intensity 26; 2θ = 35.76°, intensity 23; 2θ = 36.81°, intensity 100; 2θ = 48.76°, intensity 16; 2θ = 57.10°, intensity 18; 2θ = 64.94°, intensity 18; 2θ = 69.22°, intensity 19


(3)
Structure and calculated X-ray powder pattern of Mo (DFT lattice parameters and positions (PBE); Cu Kα (weighted mean of Kα1 and Kα2)).

Crystal structure
```
Mo
1.0
5.047 0.000 0.000
0.000 5.047 0.000
0.000 0.000 5.047
Mo
8
Cartesian
0.000 0.000 0.000
0.000 1.262 2.523
0.000 3.785 2.523
1.262 2.523 0.000
2.523 0.000 1.262
2.523 0.000 3.785
2.523 2.523 2.523
3.785 2.523 0.000
```

Main lines, sorted by position (10° ≤ 2θ ≤ 90°):
2θ = 35.58°, intensity 35; 2θ = 39.94°, intensity 100; 2θ = 43.95°, intensity 75; 2θ = 66.84°, intensity 21; 2θ = 69.72°, intensity 37; 2θ = 75.33°, intensity 15; 2θ = 86.18°, intensity 11; 2θ = 88.85°, intensity 21


(4)
Structure and calculated X-ray powder pattern of Mo (DFT lattice parameters and positions (PBE); Cu Kα (weighted mean of Kα1 and Kα2)).

Crystal structure
```
Mo
1.0
-1.580 1.580 1.580
1.580 -1.580 1.580
1.580 1.580 -1.580
Mo
1
Cartesian
0.000 0.000 0.000
```

Main lines, sorted by position (10° ≤ 2θ ≤ 90°):
2θ = 40.35°, intensity 100; 2θ = 58.39°, intensity 16; 2θ = 73.37°, intensity 33; 2θ = 87.24°, intensity 11


What is the formula in the fourth record? Mo